Structure and calculated powder diffraction line list of TiCrAgS4 (a DFT-relaxed cell (PBE, the Materials Project); Cu Kα (weighted mean of Kα1 and Kα2)).
Peak positions follow from Bragg's law for the DFT cell and can differ from measured ones.

Main lines, in order of rising 2θ (2θ = 10–80°):
20.8°, I 100; 25.8°, I 25; 28.1°, I 24; 28.2°, I 25; 36.1°, I 30; 36.3°, I 54; 40.4°, I 35; 40.5°, I 56; 40.6°, I 37; 53.0°, I 27; 53.2°, I 28; 53.2°, I 26

Cell and atoms:
Unit cell a=5.9550 b=6.9098 c=13.3667 alpha=89.69 beta=89.81 gamma=89.94
Positions (direct):
Ti1 0.0000 0.0000 0.0000
Ti2 0.9997 0.4999 0.0005
Ti3 0.0063 0.5237 0.5014
Ti4 0.5052 0.2353 0.5012
Cr1 0.4981 0.7479 0.5016
Cr2 0.4989 0.2534 0.0014
Cr3 0.4992 0.7534 0.9997
Cr4 0.9980 0.0050 0.4997
Ag1 0.1440 0.2497 0.2498
Ag2 0.4680 0.2510 0.7482
Ag3 0.5261 0.7533 0.2500
Ag4 0.8487 0.7515 0.7525
S1 0.1621 0.2514 0.6021
S2 0.1684 0.2543 0.8957
S3 0.1689 0.7541 0.8963
S4 0.1687 0.7610 0.6052
S5 0.3275 0.0003 0.3958
S6 0.3360 0.0057 0.1053
S7 0.3363 0.4993 0.1054
S8 0.3373 0.5028 0.3957
S9 0.6610 0.0021 0.8962
S10 0.6618 0.5068 0.8964
S11 0.6628 0.5046 0.6059
S12 0.6724 0.9906 0.6064
S13 0.8279 0.7587 0.3972
S14 0.8299 0.2525 0.1040
S15 0.8312 0.7529 0.1044
S16 0.8384 0.2534 0.3975


Structure and calculated powder diffraction line list of TiCrAgS4 (a DFT-relaxed cell (PBE, the Materials Project); Cu Kα (weighted mean of Kα1 and Kα2)).
Peak positions follow from Bragg's law for the DFT cell and can differ from measured ones.

Main lines, in order of rising 2θ (2θ = 10–80°):
12.7°, I 21; 19.1°, I 32; 24.8°, I 28; 30.4°, I 30; 31.3°, I 23; 31.4°, I 31; 32.4°, I 100; 41.6°, I 37; 47.1°, I 33; 48.5°, I 26; 48.9°, I 22; 53.0°, I 30

Cell and atoms:
Unit cell a=11.8073 b=3.4586 c=14.1759 alpha=90.00 beta=99.75 gamma=90.00
Positions (direct):
Ti1 0.0000 0.0000 0.0000
Ti2 0.1802 0.0000 0.3908
Ti3 0.5035 0.5000 0.0151
Ti4 0.7267 0.0000 0.4727
Cr1 0.0877 0.5000 0.1898
Cr2 0.2676 0.5000 0.6091
Cr3 0.5421 0.0000 0.8301
Cr4 0.6422 0.5000 0.6480
Ag1 0.2012 0.5000 0.8423
Ag2 0.4680 0.5000 0.2548
Ag3 0.7798 0.0000 0.2244
Ag4 0.9864 0.0000 0.6190
S1 0.0042 0.0000 0.2735
S2 0.0068 0.5000 0.8864
S3 0.1022 0.5000 0.4819
S4 0.1703 0.0000 0.1024
S5 0.1875 0.0000 0.6961
S6 0.2682 0.5000 0.3007
S7 0.3330 0.0000 0.5205
S8 0.3858 0.0000 0.9254
S9 0.4678 0.5000 0.7198
S10 0.5620 0.0000 0.1360
S11 0.5676 0.0000 0.5348
S12 0.6467 0.5000 0.9317
S13 0.6885 0.5000 0.3511
S14 0.7074 0.0000 0.7554
S15 0.8217 0.5000 0.5817
S16 0.9059 0.5000 0.0824


Structure and calculated powder diffraction line list of TiCrAgS4 (a DFT-relaxed cell (PBE, the Materials Project); Cu Kα (weighted mean of Kα1 and Kα2)).
Peak positions follow from Bragg's law for the DFT cell and can differ from measured ones.

Main lines, in order of rising 2θ (2θ = 10–80°):
19.1°, I 100; 21.6°, I 35; 30.6°, I 15; 32.1°, I 13; 33.1°, I 16; 38.7°, I 18; 39.9°, I 22; 40.3°, I 21; 43.3°, I 23; 43.9°, I 16; 48.3°, I 10; 48.9°, I 23

Cell and atoms:
Unit cell a=9.3094 b=11.6345 c=5.8392 alpha=90.00 beta=90.00 gamma=90.00
Positions (direct):
Ti1 0.0000 0.0113 0.0000
Ti2 0.0000 0.2230 0.6350
Ti3 0.0000 0.7770 0.1350
Ti4 0.0000 0.9887 0.5000
Cr1 0.5000 0.2855 0.3637
Cr2 0.5000 0.4898 0.9777
Cr3 0.5000 0.5102 0.4777
Cr4 0.5000 0.7145 0.8637
Ag1 0.0000 0.3826 0.1886
Ag2 0.0000 0.6174 0.6886
Ag3 0.5000 0.1112 0.8027
Ag4 0.5000 0.8888 0.3027
S1 0.0000 0.1712 0.2549
S2 0.0000 0.4037 0.7512
S3 0.0000 0.5963 0.2512
S4 0.0000 0.8288 0.7549
S5 0.1798 0.0948 0.7430
S6 0.1798 0.9052 0.2430
S7 0.3330 0.4068 0.2380
S8 0.3330 0.5932 0.7380
S9 0.5000 0.1110 0.2430
S10 0.5000 0.3292 0.7267
S11 0.5000 0.6708 0.2267
S12 0.5000 0.8890 0.7430
S13 0.6670 0.4068 0.2380
S14 0.6670 0.5932 0.7380
S15 0.8202 0.0948 0.7430
S16 0.8202 0.9052 0.2430


Structure and calculated powder diffraction line list of TiCrAgS4 (a DFT-relaxed cell (PBE, the Materials Project); Cu Kα (weighted mean of Kα1 and Kα2)).
Peak positions follow from Bragg's law for the DFT cell and can differ from measured ones.

Main lines, in order of rising 2θ (2θ = 10–80°):
16.3°, I 40; 16.5°, I 58; 26.5°, I 36; 29.7°, I 40; 30.0°, I 22; 33.0°, I 44; 33.2°, I 23; 41.0°, I 100; 41.3°, I 41; 41.8°, I 36; 52.5°, I 23; 53.1°, I 39

Cell and atoms:
Unit cell a=5.9584 b=3.4843 c=12.8188 alpha=90.00 beta=90.97 gamma=90.00
Positions (direct):
Ti1 0.0295 0.0000 0.2493
Ti2 0.9705 0.0000 0.7507
Cr1 0.4826 0.5000 0.2523
Cr2 0.5174 0.5000 0.7477
Ag1 0.0000 0.0000 0.5000
Ag2 0.5000 0.5000 0.0000
S1 0.1594 0.5000 0.1354
S2 0.1705 0.5000 0.6482
S3 0.3421 0.0000 0.3640
S4 0.3448 0.0000 0.8484
S5 0.6552 0.0000 0.1516
S6 0.6579 0.0000 0.6360
S7 0.8295 0.5000 0.3518
S8 0.8406 0.5000 0.8646


Structure and calculated powder diffraction line list of TiCrAgS4 (a DFT-relaxed cell (PBE, the Materials Project); Cu Kα (weighted mean of Kα1 and Kα2)).
Peak positions follow from Bragg's law for the DFT cell and can differ from measured ones.

Main lines, in order of rising 2θ (2θ = 10–80°):
14.0°, I 17; 20.8°, I 51; 21.0°, I 100; 23.4°, I 19; 28.3°, I 36; 30.9°, I 20; 32.7°, I 18; 37.2°, I 24; 41.6°, I 28; 42.8°, I 23; 45.5°, I 20; 48.4°, I 29

Cell and atoms:
Unit cell a=8.4504 b=5.7849 c=12.6218 alpha=90.00 beta=90.00 gamma=90.00
Positions (direct):
Ti1 0.0000 0.1097 0.0000
Ti2 0.0000 0.2353 0.2227
Ti3 0.5000 0.7647 0.7227
Ti4 0.5000 0.8903 0.5000
Cr1 0.0000 0.5928 0.3912
Cr2 0.0000 0.7465 0.1921
Cr3 0.5000 0.2535 0.6921
Cr4 0.5000 0.4072 0.8912
Ag1 0.0000 0.0880 0.6356
Ag2 0.0000 0.5485 0.8397
Ag3 0.5000 0.4515 0.3397
Ag4 0.5000 0.9120 0.1356
S1 0.0000 0.4845 0.5484
S2 0.0000 0.4885 0.0445
S3 0.0000 0.9658 0.3562
S4 0.0000 0.9956 0.8312
S5 0.1940 0.9953 0.1170
S6 0.1954 0.5099 0.2776
S7 0.3046 0.4901 0.7776
S8 0.3060 0.0047 0.6170
S9 0.5000 0.0044 0.3312
S10 0.5000 0.0342 0.8562
S11 0.5000 0.5115 0.5445
S12 0.5000 0.5155 0.0484
S13 0.6940 0.0047 0.6170
S14 0.6954 0.4901 0.7776
S15 0.8046 0.5099 0.2776
S16 0.8060 0.9953 0.1170


Structure and calculated powder diffraction line list of TiCrAgS4 (a DFT-relaxed cell (PBE, the Materials Project); Cu Kα (weighted mean of Kα1 and Kα2)).
Peak positions follow from Bragg's law for the DFT cell and can differ from measured ones.

Main lines, in order of rising 2θ (2θ = 10–80°):
21.2°, I 100; 27.1°, I 17; 27.2°, I 18; 28.5°, I 27; 28.7°, I 21; 29.2°, I 30; 33.2°, I 50; 33.4°, I 20; 47.4°, I 29; 48.3°, I 22; 48.5°, I 21; 49.6°, I 61

Cell and atoms:
Unit cell a=6.4763 b=7.6649 c=12.7836 alpha=98.41 beta=95.19 gamma=90.32
Positions (direct):
Ti1 0.1486 0.2033 0.2913
Ti2 0.2367 0.4014 0.9994
Ti3 0.7633 0.5986 0.0006
Ti4 0.8514 0.7967 0.7087
Cr1 0.3659 0.0553 0.7165
Cr2 0.3661 0.5531 0.7070
Cr3 0.6339 0.4469 0.2930
Cr4 0.6341 0.9447 0.2835
Ag1 0.1132 0.6897 0.3080
Ag2 0.2530 0.8683 0.0003
Ag3 0.7470 0.1317 0.9997
Ag4 0.8868 0.3103 0.6920
S1 0.0875 0.6382 0.1039
S2 0.1336 0.1783 0.1128
S3 0.1910 0.7940 0.6542
S4 0.2453 0.2804 0.6417
S5 0.3251 0.9725 0.3511
S6 0.3305 0.4492 0.3716
S7 0.3691 0.1151 0.8899
S8 0.4208 0.5657 0.8882
S9 0.5792 0.4343 0.1118
S10 0.6309 0.8849 0.1101
S11 0.6695 0.5508 0.6284
S12 0.6749 0.0275 0.6489
S13 0.7547 0.7196 0.3583
S14 0.8090 0.2060 0.3458
S15 0.8664 0.8217 0.8872
S16 0.9125 0.3618 0.8961